Diffraction record for TiCo3. The XRD peak list is computed, not measured: it uses a crystal structure in the Materials Project, relaxed with PBE and Cu Kα (λ = 1.5418 Å).

```
data_TiCo3
_cell_length_a 5.131
_cell_length_b 5.131
_cell_length_c 4.135
_cell_angle_alpha 90.00
_cell_angle_beta 90.00
_cell_angle_gamma 120.00
_symmetry_space_group_name_H-M 'P 1'
_symmetry_Int_Tables_number 1
loop_
_symmetry_equiv_pos_as_xyz
'x,y,z'
loop_
_atom_site_label
_atom_site_type_symbol
_atom_site_fract_x
_atom_site_fract_y
_atom_site_fract_z
_atom_site_occupancy
Ti1 Ti 0.333 0.667 0.250 1
Ti2 Ti 0.667 0.333 0.750 1
Co1 Co 0.163 0.325 0.750 1
Co2 Co 0.163 0.837 0.750 1
Co3 Co 0.325 0.163 0.250 1
Co4 Co 0.675 0.837 0.750 1
Co5 Co 0.837 0.163 0.250 1
Co6 Co 0.837 0.675 0.250 1
```

Most intense lines, 10 to 90 degrees two-theta, in order of falling intensity:
2theta  d_spacing  Rel. int.  h k l
46.39  1.957  100  2 0 1
43.79  2.068  27  0 0 2
40.61  2.222  25  2 0 0
82.32  1.171  16  2 0 3
73.88  1.283  15  2 2 0
61.24  1.514  13  2 0 2